# HoCuSi
Computed powder diffractogram, λ = 1.5418 Å (Cu Kα). Input: a GGA-PBE-relaxed structure.
Lines closer than 0.1° are merged.

Cell and atoms:
```
HoCuSi
1.0
4.045 0.000 0.000
-2.022 3.503 0.000
0.000 0.000 3.992
Ho Cu Si
1 1 1
Cartesian
0.000 0.000 0.000
0.000 2.335 1.996
2.022 1.168 1.996
```

Peak list (6 most intense, 2θ from 10° to 90°, most intense first)
| Position (°2θ) | Rel. int. |
| --- | --- |
| 34.05 | 100 |
| 44.82 | 34 |
| 25.43 | 32 |
| 57.46 | 22 |
| 65.73 | 21 |
| 75.68 | 19 |


# Hf2Co4P3
Computed powder diffractogram, λ = 1.5418 Å (Cu Kα). Input: a GGA-PBE-relaxed structure.
Lines closer than 0.1° are merged.

Cell and atoms:
```
Hf2Co4P3
1.0
12.051 0.000 0.000
-6.026 10.437 0.000
0.000 0.000 3.641
Hf Co P
8 16 12
Cartesian
-1.058 1.832 0.000
-3.349 5.800 1.820
2.116 0.000 0.000
0.000 6.958 1.820
2.677 4.636 1.820
6.698 0.000 1.820
6.026 3.479 1.820
4.968 8.604 0.000
0.000 0.000 1.820
-4.346 7.527 0.000
-1.378 5.032 0.000
-2.698 8.415 1.820
0.087 3.892 1.820
1.680 2.910 0.000
-0.979 9.114 0.000
3.328 2.021 1.820
5.046 1.323 0.000
2.357 6.728 0.000
2.611 8.566 1.820
4.648 5.405 0.000
8.691 0.000 0.000
8.637 1.871 1.820
6.112 6.544 1.820
8.382 3.709 0.000
-2.078 3.599 1.820
-4.967 8.604 1.820
-2.068 7.205 0.000
1.058 1.833 1.820
0.820 5.044 0.000
4.156 0.000 1.820
3.958 3.232 0.000
1.248 8.625 0.000
3.948 6.838 1.820
7.273 1.812 0.000
9.935 0.000 1.820
6.846 5.393 0.000
```

Peak list (6 most intense, 2θ from 10° to 90°, most intense first)
| Position (°2θ) | Rel. int. |
| --- | --- |
| 38.80 | 100 |
| 39.78 | 47 |
| 50.11 | 21 |
| 22.54 | 19 |
| 52.62 | 19 |
| 25.92 | 16 |


# LiAg5F12
Computed powder diffractogram, λ = 1.5418 Å (Cu Kα). Input: a GGA-PBE-relaxed structure.
Lines closer than 0.1° are merged.

Cell and atoms:
```
LiAg5F12
1.0
3.502 -3.524 0.000
3.502 3.524 0.000
0.000 0.000 10.581
Li Ag F
1 5 12
Cartesian
0.000 0.000 0.000
0.000 0.000 3.442
0.000 0.000 7.139
3.502 0.000 1.666
3.502 0.000 5.290
3.502 0.000 8.915
1.364 0.000 5.290
1.436 0.000 1.753
1.436 0.000 8.828
3.502 1.489 0.000
3.502 1.389 3.519
3.502 1.389 7.062
3.502 -1.389 3.519
3.502 -1.389 7.062
3.502 -1.489 0.000
5.567 0.000 1.753
5.567 0.000 8.828
5.640 0.000 5.290
```

Peak list (6 most intense, 2θ from 10° to 90°, most intense first)
| Position (°2θ) | Rel. int. |
| --- | --- |
| 31.10 | 100 |
| 25.27 | 64 |
| 25.44 | 61 |
| 48.33 | 44 |
| 48.51 | 44 |
| 61.90 | 28 |


# Hf4USi4
Computed powder diffractogram, λ = 1.5418 Å (Cu Kα). Input: a GGA-PBE-relaxed structure.
Lines closer than 0.1° are merged.

Cell and atoms:
```
Hf4USi4
1.0
7.168 0.000 0.000
0.000 7.168 0.000
0.000 0.000 13.079
Hf U Si
16 4 16
Cartesian
7.168 1.082 0.444
0.000 6.086 6.983
0.029 2.521 8.167
1.059 3.600 11.400
1.082 0.000 10.253
1.262 2.331 3.270
2.331 5.906 0.000
2.521 7.140 4.897
3.569 1.059 1.591
3.600 6.110 8.131
4.647 0.029 11.437
4.837 1.262 6.539
5.906 4.837 9.809
6.086 7.168 3.714
6.110 3.569 4.861
7.140 4.647 1.627
2.498 3.611 6.065
3.558 2.498 9.335
3.611 4.670 2.795
4.670 3.558 12.604
0.332 1.412 5.678
0.977 5.080 4.159
1.412 6.836 2.409
1.434 4.659 8.867
2.088 0.977 7.429
2.086 3.212 0.812
2.510 1.434 12.137
3.212 5.083 10.621
3.956 2.086 4.081
4.659 5.735 5.597
5.083 3.956 7.351
5.080 6.191 0.889
5.735 2.510 2.327
5.757 0.332 8.948
6.191 2.088 10.698
6.836 5.757 12.218
```

Peak list (6 most intense, 2θ from 10° to 90°, most intense first)
| Position (°2θ) | Rel. int. |
| --- | --- |
| 36.10 | 100 |
| 34.73 | 82 |
| 40.18 | 73 |
| 38.74 | 71 |
| 28.40 | 46 |
| 58.77 | 44 |


# SmCd3
Computed powder diffractogram, λ = 1.5418 Å (Cu Kα). Input: a GGA-PBE-relaxed structure.
Lines closer than 0.1° are merged.

Cell and atoms:
```
SmCd3
1.0
7.278 0.000 0.000
0.000 7.278 0.000
0.000 0.000 7.278
Sm Cd
4 12
Cartesian
0.000 0.000 0.000
0.000 3.639 3.639
3.639 0.000 3.639
3.639 3.639 0.000
0.000 0.000 3.639
0.000 3.639 0.000
1.819 1.819 1.819
1.819 1.819 5.458
1.819 5.458 1.819
1.819 5.458 5.458
3.639 0.000 0.000
3.639 3.639 3.639
5.458 1.819 1.819
5.458 1.819 5.458
5.458 5.458 1.819
5.458 5.458 5.458
```

Peak list (6 most intense, 2θ from 10° to 90°, most intense first)
| Position (°2θ) | Rel. int. |
| --- | --- |
| 34.87 | 100 |
| 62.52 | 35 |
| 50.14 | 17 |
| 84.12 | 15 |
| 73.63 | 11 |
| 21.14 | 1 |


# ScGeRh2
Computed powder diffractogram, λ = 1.5418 Å (Cu Kα). Input: a GGA-PBE-relaxed structure.
Lines closer than 0.1° are merged.

Cell and atoms:
```
ScGeRh2
1.0
6.259 0.000 0.000
0.000 6.259 0.000
0.000 0.000 6.259
Sc Ge Rh
4 4 8
Cartesian
0.000 0.000 0.000
0.000 3.130 3.130
3.130 0.000 3.130
3.130 3.130 0.000
0.000 0.000 3.130
0.000 3.130 0.000
3.130 0.000 0.000
3.130 3.130 3.130
1.565 1.565 1.565
1.565 1.565 4.694
1.565 4.694 1.565
1.565 4.694 4.694
4.694 1.565 1.565
4.694 1.565 4.694
4.694 4.694 1.565
4.694 4.694 4.694
```

Peak list (6 most intense, 2θ from 10° to 90°, most intense first)
| Position (°2θ) | Rel. int. |
| --- | --- |
| 40.78 | 100 |
| 74.23 | 32 |
| 59.03 | 16 |
| 88.33 | 10 |
| 28.52 | 10 |
| 66.85 | 4 |